# 1
The following is a simulated X-ray powder pattern of MgCo2Cu2O8. It was derived from a cell relaxed with GGA+U, using Cu Kα X-rays.
Kinematic intensities with the Lorentz-polarization factor, no thermal factor.

Principal peaks in the range 2θ from 10° to 90°, by angle:
2theta  intensity  h k l
17.4  15  1 1 0
21.4  19  0 2 0
23.0  19  1 1 -2
25.2  15  0 1 3
26.6  29  1 2 -1
26.7  14  1 2 1
29.7  25  1 2 -2
30.5  100  0 0 4
30.8  51  2 1 1
33.3  30  0 3 1
34.6  16  1 2 3
35.9  20  0 3 2

Cell and atoms:
a b c (Å): 6.455 8.303 11.713
angles (deg): 90.00 91.05 90.00
Space group P2_1/c (No. 14)
Unique sites:
Mg  0.115  0.159  0.047 x4
Co  0.104  0.035  0.343 x4
Co  0.391  0.591  0.367 x4
Cu  0.242  0.689  0.622 x4
Cu  0.377  0.060  0.632 x4
O  0.029  0.229  0.395 x4
O  0.094  0.108  0.621 x4
O  0.127  0.020  0.199 x4
O  0.188  0.576  0.477 x4
O  0.318  0.630  0.217 x4
O  0.347  0.509  0.900 x4
O  0.414  0.229  0.083 x4
O  0.492  0.102  0.859 x4



# 2
The following is a simulated X-ray powder pattern of K2RbVF6. It was derived from a cell relaxed with GGA+U, using Cu Kα X-rays.
Kinematic intensities with the Lorentz-polarization factor, no thermal factor.

Principal peaks in the range 2θ from 10° to 90°, by angle:
2theta  intensity  h k l
19.4  33  2 0 0
27.5  100  2 2 0
32.4  7  3 1 1
39.3  54  4 0 0
43.0  10  3 3 1
44.2  11  4 2 0
48.6  33  4 2 2
56.8  29  4 4 0
60.6  5  6 0 0
64.2  20  6 2 0
71.2  8  4 4 4
78.0  20  6 4 2

Cell and atoms:
a b c (Å): 9.171 9.171 9.171
angles (deg): 90.00 90.00 90.00
Space group Fm-3m (No. 225)
Unique sites:
K  0.250  0.250  0.250 x8
Rb  0.000  0.000  0.000 x4
V  0.000  0.000  0.500 x4
F  0.000  0.000  0.287 x24



# 3
The following is a simulated X-ray powder pattern of Ta2Zn2WO8. It was derived from a cell relaxed with GGA+U, using Cu Kα X-rays.
Kinematic intensities with the Lorentz-polarization factor, no thermal factor.

Principal peaks in the range 2θ from 10° to 90°, by angle:
2theta  intensity  h k l
25.5  47  -1 1 1
26.4  67  1 1 -2
26.6  68  0 1 2
27.4  67  0 1 -3
31.1  67  -1 1 2
31.9  75  1 1 2
32.1  49  1 1 -3
32.3  70  1 -1 3
33.5  100  2 0 0
34.1  86  1 -2 1
34.7  81  1 2 -1
50.6  51  0 3 1

Cell and atoms:
a b c (Å): 5.344 5.983 10.260
angles (deg): 105.04 90.73 91.19
Space group P1 (No. 1)
Unique sites:
Ta  0.000  0.000  0.000 x1
Ta  0.004  0.743  0.534 x1
Ta  0.442  0.257  0.013 x1
Ta  0.507  0.054  0.534 x1
Zn  0.009  0.151  0.322 x1
Zn  0.464  0.867  0.191 x1
Zn  0.501  0.459  0.336 x1
Zn  0.951  0.581  0.194 x1
W  0.000  0.359  0.775 x1
W  0.509  0.656  0.772 x1
O  0.095  0.865  0.162 x1
O  0.154  0.304  0.148 x1
O  0.154  0.580  0.652 x1
O  0.180  0.059  0.632 x1
O  0.314  0.745  0.426 x1
O  0.329  0.933  0.901 x1
O  0.347  0.440  0.892 x1
O  0.379  0.183  0.390 x1
O  0.588  0.555  0.166 x1
O  0.656  0.325  0.653 x1
O  0.663  0.087  0.125 x1
O  0.681  0.829  0.630 x1
O  0.808  0.190  0.910 x1
O  0.816  0.955  0.424 x1
O  0.853  0.688  0.886 x1
O  0.875  0.477  0.392 x1